The following is a simulated powder diffractogram of Li2MgHg3. It was derived from the GGA-PBE geometry in Alexandria, using Cu Kα.
Neutral-atom scattering factors, no anomalous dispersion.

Largest 12 diffraction maxima, in order of falling intensity, 2θ = 10–80°:
2θ (°), I (rel.)
37.43, 100
26.74, 99
25.71, 51
38.18, 50
46.60, 43
68.52, 35
62.28, 19
61.76, 19
55.10, 18
60.19, 16
67.03, 15
79.85, 10

Structural model:
```
6
Lattice="3.3337 0.0000 0.0000 0.0000 3.3337 0.0000 0.0000 0.0000 10.3963" Properties=species:S:1:pos:R:3 pbc="T T T"
Li 0.0000 0.0000 1.6645
Li 0.0000 0.0000 8.7317
Mg 0.0000 0.0000 5.1981
Hg 1.6668 1.6668 0.0000
Hg 1.6668 1.6668 3.2945
Hg 1.6668 1.6668 7.1017
```

---

The following is a simulated powder diffractogram of CeSbRu2C. It was derived from the GGA-PBE geometry in Alexandria, using Cu Kα.
Neutral-atom scattering factors, no anomalous dispersion.

Largest 12 diffraction maxima, in order of falling intensity, 2θ = 10–80°:
2θ (°), I (rel.)
33.28, 100
33.87, 85
32.91, 48
31.62, 44
43.99, 41
43.14, 36
48.71, 32
39.13, 32
71.31, 25
39.31, 21
56.01, 21
59.76, 20

Structural model:
```
10
Lattice="2.0583 -5.8452 0.0000 2.0583 5.8452 0.0000 0.0000 0.0000 7.4735" Properties=species:S:1:pos:R:3 pbc="T T T"
Ce 2.0583 5.2566 5.6051
Ce 2.0583 -5.2566 1.8684
Sb 2.0583 3.1865 1.8684
Sb 2.0583 -3.1865 5.6051
Ru 2.0583 1.8121 4.1256
Ru 2.0583 1.8121 7.0847
Ru 2.0583 -1.8121 0.3888
Ru 2.0583 -1.8121 3.3480
C 2.0583 0.0000 0.0000
C 2.0583 0.0000 3.7368
```

---

The following is a simulated powder diffractogram of Tb6Pr2Th. It was derived from the GGA-PBE geometry in Alexandria, using Cu Kα.
Neutral-atom scattering factors, no anomalous dispersion.

Largest 12 diffraction maxima, in order of falling intensity, 2θ = 10–80°:
2θ (°), I (rel.)
33.26, 100
31.67, 64
28.64, 47
30.04, 46
60.09, 39
50.73, 35
56.45, 31
41.98, 30
62.02, 17
79.31, 12
61.05, 10
67.90, 7

Structural model:
```
9
Lattice="3.5990 0.0000 0.0000 -1.7995 3.1168 0.0000 0.0000 0.0000 26.7735" Properties=species:S:1:pos:R:3 pbc="T T T"
Tb 0.0000 0.0000 1.6752
Tb 0.0000 0.0000 7.6313
Tb 0.0000 0.0000 19.1422
Tb 0.0000 0.0000 25.0982
Tb 0.0000 2.0779 10.4788
Tb 0.0000 2.0779 16.2946
Pr 0.0000 2.0779 4.5660
Pr 0.0000 2.0779 22.2075
Th 0.0000 0.0000 13.3867
```

---

The following is a simulated powder diffractogram of CsTcSn2. It was derived from the GGA-PBE geometry in Alexandria, using Cu Kα.
Neutral-atom scattering factors, no anomalous dispersion.

Largest 12 diffraction maxima, in order of falling intensity, 2θ = 10–80°:
2θ (°), I (rel.)
21.72, 100
44.27, 64
28.35, 56
14.07, 50
29.30, 35
22.18, 35
25.57, 33
42.85, 33
35.51, 28
52.55, 26
41.16, 18
45.26, 16

Structural model:
```
16
Lattice="6.9673 0.0000 0.0000 0.0000 6.9673 0.0000 0.0000 0.0000 14.6954" Properties=species:S:1:pos:R:3 pbc="T T T"
Cs 0.0000 1.7418 5.5108
Cs 0.0000 5.2255 9.1846
Cs 3.4837 1.7418 1.8369
Cs 3.4837 5.2255 12.8585
Tc 0.0000 1.7418 12.8585
Tc 0.0000 5.2255 1.8369
Tc 3.4837 1.7418 9.1846
Tc 3.4837 5.2255 5.5108
Sn 0.0000 0.0000 0.0000
Sn 0.0000 3.4837 0.0000
Sn 1.7418 1.7418 11.0216
Sn 1.7418 5.2255 3.6739
Sn 3.4837 0.0000 7.3477
Sn 3.4837 3.4837 7.3477
Sn 5.2255 1.7418 11.0216
Sn 5.2255 5.2255 3.6739
```